Entry 1:
Starting from a PBE-relaxed structure, the X-ray powder pattern of PmEuMgRu was simulated for Cu Ka.
Lines closer than 0.1° are merged.

Structural model:
```
data_PmEuMgRu
_space_group_name_H-M_alt 'F -4 3 m'
_space_group_IT_number 216
_space_group_name_Hall 'F -4 2 3'
_cell_length_a 7.2823
_cell_length_b 7.2823
_cell_length_c 7.2823
_cell_angle_alpha 90.00
_cell_angle_beta 90.00
_cell_angle_gamma 90.00
loop_
_atom_site_label
_atom_site_fract_x
_atom_site_fract_y
_atom_site_fract_z
Pm1 0.0000 0.0000 0.0000
Eu1 0.0000 0.0000 0.5000
Mg1 0.2500 0.2500 0.7500
Ru1 0.2500 0.2500 0.2500
```

Top 10 peaks for 5 to 70 degrees two-theta, by angle:
hkl 1 1 1, 2θ 21.13, d = 4.204 Å, I 7.9
hkl 2 0 0, 2θ 24.45, d = 3.641 Å, I 19.2
hkl 2 2 0, 2θ 34.85, d = 2.575 Å, I 100.0
hkl 3 1 1, 2θ 41.11, d = 2.196 Å, I 4.1
hkl 2 2 2, 2θ 43.03, d = 2.102 Å, I 5.9
hkl 4 0 0, 2θ 50.10, d = 1.821 Å, I 17.7
hkl 3 3 1, 2θ 54.96, d = 1.671 Å, I 1.7
hkl 4 2 0, 2θ 56.51, d = 1.628 Å, I 8.1
hkl 4 2 2, 2θ 62.48, d = 1.486 Å, I 36.2
hkl 5 1 1, 2θ 66.74, d = 1.401 Å, I 1.3

=====

Entry 2:
Starting from a PBE-relaxed structure, the X-ray powder pattern of Eu3Mg5Si5 was simulated for Cu Ka.
Lines closer than 0.1° are merged.

Structural model:
```
data_Eu3Mg5Si5
_space_group_name_H-M_alt 'P n m a'
_space_group_IT_number 62
_cell_length_a 14.2761
_cell_length_b 4.4472
_cell_length_c 18.1571
_cell_angle_alpha 90.00
_cell_angle_beta 90.00
_cell_angle_gamma 90.00
loop_
_space_group_symop_operation_xyz
'x,y,z'
'-x,-y,-z'
'-x+1/2,-y,z+1/2'
'x+1/2,y,-z+1/2'
'x+1/2,-y+1/2,-z+1/2'
'-x+1/2,y+1/2,z+1/2'
'-x,y+1/2,-z'
'x,-y+1/2,z'
loop_
_atom_site_label
_atom_site_fract_x
_atom_site_fract_y
_atom_site_fract_z
Eu1 0.0883 0.2500 0.1544
Eu2 0.1357 0.7500 0.6930
Eu3 0.2085 0.7500 0.4873
Mg1 0.0223 0.2500 0.4397
Mg2 0.0370 0.7500 0.3117
Mg3 0.0532 0.2500 0.9572
Mg4 0.1636 0.7500 0.8726
Mg5 0.2348 0.7500 0.2733
Si1 0.0786 0.2500 0.8099
Si2 0.0925 0.2500 0.5762
Si3 0.1346 0.7500 0.0205
Si4 0.1501 0.2500 0.3275
Si5 0.2462 0.7500 0.1177
```

Top 10 peaks for 5 to 70 degrees two-theta, by angle:
hkl 1 0 2, 2θ 11.55, d = 7.661 Å, I 38.8
hkl 0 1 1, 2θ 20.55, d = 4.322 Å, I 52.1
hkl 1 1 1, 2θ 21.49, d = 4.134 Å, I 46.5
hkl 2 1 4, 2θ 30.81, d = 2.902 Å, I 32.3
hkl 3 1 3, 2θ 31.24, d = 2.863 Å, I 100.0
hkl 0 1 5, 2θ 31.78, d = 2.815 Å, I 48.9
hkl 4 1 0, 2θ 32.16, d = 2.784 Å, I 50.0
hkl 1 1 5, 2θ 32.44, d = 2.760 Å, I 64.8
hkl 4 1 1, 2θ 32.54, d = 2.751 Å, I 50.0
hkl 0 2 0, 2θ 40.57, d = 2.224 Å, I 46.5

=====

Entry 3:
Starting from a PBE-relaxed structure, the X-ray powder pattern of EuMn6 was simulated for Cu Ka.
Lines closer than 0.1° are merged.

Structural model:
```
data_EuMn6
_space_group_name_H-M_alt 'I m -3 m'
_space_group_IT_number 229
_space_group_name_Hall '-I 4 2 3'
_cell_length_a 6.1331
_cell_length_b 6.1331
_cell_length_c 6.1331
_cell_angle_alpha 90.00
_cell_angle_beta 90.00
_cell_angle_gamma 90.00
loop_
_atom_site_label
_atom_site_fract_x
_atom_site_fract_y
_atom_site_fract_z
Eu1 0.0000 0.0000 0.0000
Mn1 0.0000 0.2500 0.5000
```

Top 10 peaks for 5 to 70 degrees two-theta, by angle:
hkl 1 1 0, 2θ 20.48, d = 4.337 Å, I 3.7
hkl 2 0 0, 2θ 29.12, d = 3.067 Å, I 43.8
hkl 2 1 1, 2θ 35.87, d = 2.504 Å, I 100.0
hkl 2 2 0, 2θ 41.65, d = 2.168 Å, I 0.8
hkl 3 1 0, 2θ 46.84, d = 1.939 Å, I 1.3
hkl 2 2 2, 2θ 51.63, d = 1.770 Å, I 4.8
hkl 3 2 1, 2θ 56.11, d = 1.639 Å, I 52.3
hkl 4 0 0, 2θ 60.37, d = 1.533 Å, I 17.1
hkl 4 1 1, 2θ 64.46, d = 1.446 Å, I 0.9
hkl 4 2 0, 2θ 68.41, d = 1.371 Å, I 14.1